[1]
For InHg2Bi2, a DFT-relaxed cell (GGA-PBE, Alexandria) gives the simulated powder diffractogram in this record (copper Kα).

Crystal structure
Cell: 9.231 9.231 3.478 Å, 90.00 90.00 90.00°
Fractional coordinates of all 10 atoms:
In1 0.000 0.000 0.000
In2 0.500 0.500 0.000
Hg1 0.137 0.363 0.000
Hg2 0.363 0.863 0.000
Hg3 0.637 0.137 0.000
Hg4 0.863 0.637 0.000
Bi1 0.161 0.661 0.500
Bi2 0.339 0.161 0.500
Bi3 0.661 0.839 0.500
Bi4 0.839 0.339 0.500

Largest 10 diffraction maxima, by angle, 2θ from 5° to 70°:
| 2θ (°) | I_rel |
| --- | --- |
| 13.6 | 15 |
| 30.6 | 52 |
| 32.2 | 8 |
| 33.7 | 100 |
| 39.0 | 12 |
| 41.5 | 13 |
| 43.9 | 13 |
| 48.4 | 13 |
| 60.2 | 32 |
| 62.1 | 14 |

***

[2]
For TiIn2, a DFT-relaxed cell (GGA-PBE, Alexandria) gives the simulated powder diffractogram in this record (copper Kα).

Crystal structure
Cell: 3.044 3.044 7.109 Å, 90.24 90.24 89.57°
Fractional coordinates of all 3 atoms:
Ti1 0.000 0.000 0.000
In1 0.497 0.497 0.705
In2 0.503 0.503 0.295

Largest 10 diffraction maxima, by angle, 2θ from 5° to 70°:
| 2θ (°) | I_rel |
| --- | --- |
| 25.1 | 48 |
| 29.3 | 100 |
| 31.9 | 27 |
| 32.0 | 32 |
| 38.0 | 36 |
| 38.9 | 82 |
| 39.0 | 78 |
| 41.8 | 43 |
| 42.1 | 42 |
| 58.0 | 30 |

***

[3]
For NaIn5Hg6, a DFT-relaxed cell (GGA-PBE, Alexandria) gives the simulated powder diffractogram in this record (copper Kα).

Crystal structure
Cell: 8.476 8.476 7.627 Å, 90.45 90.45 145.17°
Fractional coordinates of all 12 atoms:
Na1 0.000 0.000 0.000
In1 0.000 0.000 0.500
In2 0.329 0.671 0.500
In3 0.340 0.660 0.000
In4 0.660 0.340 0.000
In5 0.671 0.329 0.500
Hg1 0.165 0.831 0.755
Hg2 0.169 0.835 0.245
Hg3 0.499 0.499 0.257
Hg4 0.501 0.501 0.743
Hg5 0.831 0.165 0.755
Hg6 0.835 0.169 0.245

Largest 10 diffraction maxima, by angle, 2θ from 5° to 70°:
| 2θ (°) | I_rel |
| --- | --- |
| 24.1 | 24 |
| 33.2 | 51 |
| 33.4 | 100 |
| 34.1 | 95 |
| 35.4 | 44 |
| 47.7 | 18 |
| 49.3 | 34 |
| 59.4 | 19 |
| 59.5 | 19 |
| 59.9 | 28 |

***

[4]
For Nb5S2, a DFT-relaxed cell (GGA-PBE, Alexandria) gives the simulated powder diffractogram in this record (copper Kα).

Crystal structure
Cell: 7.527 7.527 6.011 Å, 95.11 95.11 43.48°
Fractional coordinates of all 14 atoms:
Nb1 0.093 0.355 0.277
Nb2 0.093 0.907 0.750
Nb3 0.329 0.485 0.083
Nb4 0.355 0.093 0.777
Nb5 0.485 0.329 0.583
Nb6 0.515 0.671 0.417
Nb7 0.645 0.907 0.223
Nb8 0.671 0.515 0.917
Nb9 0.907 0.093 0.250
Nb10 0.907 0.645 0.723
S1 0.060 0.713 0.416
S2 0.287 0.940 0.084
S3 0.713 0.060 0.916
S4 0.940 0.287 0.584

Largest 10 diffraction maxima, by angle, 2θ from 5° to 70°:
| 2θ (°) | I_rel |
| --- | --- |
| 33.7 | 29 |
| 35.2 | 44 |
| 35.5 | 100 |
| 36.1 | 87 |
| 37.7 | 91 |
| 37.9 | 32 |
| 38.4 | 45 |
| 40.4 | 39 |
| 40.8 | 30 |
| 43.4 | 47 |

***

[5]
For SrS6F2, a DFT-relaxed cell (GGA-PBE, Alexandria) gives the simulated powder diffractogram in this record (copper Kα).

Crystal structure
Cell: 7.507 7.507 3.937 Å, 93.93 93.93 95.19°
Fractional coordinates of all 9 atoms:
Sr1 0.000 0.000 0.000
S1 0.261 0.556 0.094
S2 0.315 0.315 0.845
S3 0.444 0.739 0.906
S4 0.556 0.261 0.094
S5 0.685 0.685 0.155
S6 0.739 0.444 0.906
F1 0.126 0.874 0.500
F2 0.874 0.126 0.500

Largest 10 diffraction maxima, by angle, 2θ from 5° to 70°:
| 2θ (°) | I_rel |
| --- | --- |
| 16.0 | 66 |
| 17.6 | 73 |
| 22.7 | 84 |
| 25.7 | 59 |
| 27.8 | 93 |
| 27.9 | 22 |
| 34.3 | 39 |
| 35.2 | 100 |
| 44.6 | 24 |
| 49.3 | 22 |

***

[6]
For KNaCe2Te4, a DFT-relaxed cell (GGA-PBE, Alexandria) gives the simulated powder diffractogram in this record (copper Kα).

Crystal structure
Cell: 8.036 4.623 8.330 Å, 90.00 108.80 90.00°
Fractional coordinates of all 8 atoms:
K1 0.000 0.000 0.000
Na1 0.500 0.500 0.000
Ce1 0.000 0.500 0.500
Ce2 0.500 0.000 0.500
Te1 0.247 0.000 0.727
Te2 0.263 0.500 0.278
Te3 0.737 0.500 0.722
Te4 0.753 0.000 0.273

Largest 10 diffraction maxima, by angle, 2θ from 5° to 70°:
| 2θ (°) | I_rel |
| --- | --- |
| 11.2 | 30 |
| 26.9 | 100 |
| 34.7 | 11 |
| 37.8 | 37 |
| 38.9 | 25 |
| 39.0 | 13 |
| 48.0 | 20 |
| 55.4 | 8 |
| 61.8 | 10 |
| 63.3 | 12 |

***

[7]
For SmZn2Pd2Au, a DFT-relaxed cell (GGA-PBE, Alexandria) gives the simulated powder diffractogram in this record (copper Kα).

Crystal structure
Cell: 4.753 4.753 5.633 Å, 90.00 90.00 90.00°
Fractional coordinates of all 6 atoms:
Sm1 0.000 0.000 0.000
Zn1 0.000 0.500 0.500
Zn2 0.500 0.000 0.500
Pd1 0.500 0.500 0.245
Pd2 0.500 0.500 0.755
Au1 0.000 0.000 0.500

Largest 10 diffraction maxima, by angle, 2θ from 5° to 70°:
| 2θ (°) | I_rel |
| --- | --- |
| 15.7 | 21 |
| 18.7 | 14 |
| 26.5 | 67 |
| 37.1 | 100 |
| 37.9 | 74 |
| 50.2 | 10 |
| 54.0 | 68 |
| 54.6 | 26 |
| 61.7 | 13 |
| 67.9 | 17 |

***

[8]
For Ho4Ni, a DFT-relaxed cell (GGA-PBE, Alexandria) gives the simulated powder diffractogram in this record (copper Kα).

Crystal structure
Cell: 7.120 7.120 7.120 Å, 107.38 107.38 113.75°
Fractional coordinates of all 10 atoms:
Ho1 0.042 0.805 0.169
Ho2 0.115 0.445 0.737
Ho3 0.127 0.958 0.763
Ho4 0.195 0.365 0.237
Ho5 0.555 0.292 0.669
Ho6 0.623 0.885 0.331
Ho7 0.635 0.873 0.831
Ho8 0.708 0.377 0.263
Ni1 0.250 0.750 0.500
Ni2 0.500 0.500 0.000

Largest 10 diffraction maxima, by angle, 2θ from 5° to 70°:
| 2θ (°) | I_rel |
| --- | --- |
| 26.3 | 16 |
| 30.0 | 39 |
| 31.3 | 100 |
| 33.6 | 17 |
| 33.9 | 38 |
| 36.2 | 27 |
| 40.3 | 22 |
| 52.7 | 16 |
| 54.0 | 14 |
| 55.8 | 19 |

***

[9]
For Ac5HgPt2, a DFT-relaxed cell (GGA-PBE, Alexandria) gives the simulated powder diffractogram in this record (copper Kα).

Crystal structure
Cell: 9.496 9.496 9.496 Å, 127.09 126.52 78.57°
Fractional coordinates of all 16 atoms:
Ac1 0.000 0.000 0.000
Ac2 0.024 0.522 0.820
Ac3 0.202 0.022 0.498
Ac4 0.298 0.796 0.820
Ac5 0.476 0.296 0.498
Ac6 0.500 0.500 0.000
Ac7 0.524 0.704 0.502
Ac8 0.702 0.204 0.180
Ac9 0.798 0.978 0.502
Ac10 0.976 0.478 0.180
Hg1 0.250 0.250 0.000
Hg2 0.750 0.750 0.000
Pt1 0.136 0.362 0.498
Pt2 0.364 0.862 0.225
Pt3 0.636 0.138 0.775
Pt4 0.864 0.638 0.502

Largest 10 diffraction maxima, by angle, 2θ from 5° to 70°:
| 2θ (°) | I_rel |
| --- | --- |
| 28.5 | 31 |
| 29.7 | 100 |
| 29.8 | 82 |
| 32.1 | 24 |
| 32.3 | 22 |
| 33.2 | 51 |
| 33.5 | 49 |
| 38.7 | 22 |
| 49.6 | 22 |
| 52.0 | 23 |

***

[10]
For Ho2Ga5IrRh2, a DFT-relaxed cell (GGA-PBE, Alexandria) gives the simulated powder diffractogram in this record (copper Kα).

Crystal structure
Cell: 9.538 9.538 3.872 Å, 90.00 90.00 90.00°
Fractional coordinates of all 20 atoms:
Ho1 0.183 0.317 0.000
Ho2 0.317 0.817 0.000
Ho3 0.683 0.183 0.000
Ho4 0.817 0.683 0.000
Ga1 0.000 0.500 0.500
Ga2 0.052 0.805 0.500
Ga3 0.195 0.052 0.500
Ga4 0.305 0.552 0.500
Ga5 0.448 0.305 0.500
Ga6 0.500 0.000 0.500
Ga7 0.552 0.695 0.500
Ga8 0.695 0.448 0.500
Ga9 0.805 0.948 0.500
Ga10 0.948 0.195 0.500
Ir1 0.000 0.000 0.000
Ir2 0.500 0.500 0.000
Rh1 0.117 0.617 0.000
Rh2 0.383 0.117 0.000
Rh3 0.617 0.883 0.000
Rh4 0.883 0.383 0.000

Largest 10 diffraction maxima, by angle, 2θ from 5° to 70°:
| 2θ (°) | I_rel |
| --- | --- |
| 23.0 | 17 |
| 26.4 | 10 |
| 29.6 | 17 |
| 35.3 | 35 |
| 37.8 | 100 |
| 38.9 | 35 |
| 40.1 | 10 |
| 41.3 | 31 |
| 46.9 | 24 |
| 62.6 | 17 |

***

[11]
For Rb2BeTeCl6, a DFT-relaxed cell (GGA-PBE, Alexandria) gives the simulated powder diffractogram in this record (copper Kα).

Crystal structure
Cell: 7.547 7.547 7.547 Å, 120.63 120.63 88.91°
Fractional coordinates of all 10 atoms:
Rb1 0.250 0.750 0.500
Rb2 0.750 0.250 0.500
Be1 0.000 0.000 0.000
Te1 0.500 0.500 0.000
Cl1 0.205 0.205 0.410
Cl2 0.205 0.795 0.000
Cl3 0.265 0.265 0.000
Cl4 0.735 0.735 0.000
Cl5 0.795 0.205 0.000
Cl6 0.795 0.795 0.590

Largest 10 diffraction maxima, by angle, 2θ from 5° to 70°:
| 2θ (°) | I_rel |
| --- | --- |
| 14.4 | 33 |
| 23.6 | 100 |
| 23.8 | 53 |
| 27.9 | 56 |
| 29.1 | 58 |
| 33.3 | 47 |
| 33.9 | 76 |
| 37.0 | 28 |
| 41.7 | 32 |
| 48.2 | 52 |